# 1
# KCuH3
Calculated XRD peak list, Cu Kα X-rays. Input: a cell relaxed with PBE.
Lines closer than 0.1° are merged.

Crystal structure
```
KCuH3
1.0
2.903 0.000 0.000
0.000 3.463 0.000
0.000 0.000 5.496
K Cu H
1 1 3
Direct
0.000 0.000 0.000
0.000 0.500 0.500
0.000 0.000 0.500
0.500 0.500 0.300
0.500 0.500 0.700
```

Main lines, low angle first (15 to 90 degrees two-theta):
Position (°2θ), d (Å), I_rel
16.1, 5.496, 17
30.5, 2.930, 100
30.8, 2.903, 48
32.6, 2.748, 41
43.9, 2.062, 67
45.4, 1.996, 33
56.9, 1.619, 15
66.1, 1.414, 19
72.2, 1.308, 14
72.7, 1.301, 13

***

# 2
# Tl2In6Hg3
Calculated XRD peak list, Cu Kα X-rays. Input: a cell relaxed with PBE.
Lines closer than 0.1° are merged.

Crystal structure
```
Tl2In6Hg3
1.0
1.880 1.085 25.071
-1.880 1.085 25.071
0.000 -2.171 25.071
Tl In Hg
2 6 3
Direct
0.047 0.047 0.047
0.953 0.953 0.953
0.138 0.138 0.138
0.318 0.318 0.318
0.413 0.413 0.413
0.587 0.587 0.587
0.682 0.682 0.682
0.862 0.862 0.862
0.225 0.225 0.225
0.500 0.500 0.500
0.775 0.775 0.775
```

Main lines, low angle first (15 to 90 degrees two-theta):
Position (°2θ), d (Å), I_rel
30.4, 2.940, 100
38.2, 2.358, 51
39.5, 2.279, 13
48.4, 1.880, 28
58.2, 1.584, 16
61.2, 1.514, 9
63.3, 1.470, 11
64.2, 1.450, 19
79.0, 1.211, 13
83.5, 1.158, 11

***

# 3
# DyCuRhAu
Calculated XRD peak list, Cu Kα X-rays. Input: a cell relaxed with PBE.
Lines closer than 0.1° are merged.

Crystal structure
```
DyCuRhAu
1.0
3.971 0.000 0.000
0.000 3.984 0.000
0.000 0.000 4.382
Dy Cu Rh Au
1 1 1 1
Direct
0.000 0.000 0.000
0.000 0.500 0.500
0.500 0.500 0.000
0.500 0.000 0.500
```

Main lines, low angle first (15 to 90 degrees two-theta):
Position (°2θ), d (Å), I_rel
22.3, 3.982, 13
30.4, 2.943, 12
38.0, 2.367, 100
41.2, 2.191, 20
45.5, 1.992, 15
45.7, 1.985, 15
63.1, 1.474, 11
73.0, 1.296, 15
79.1, 1.210, 12
79.4, 1.207, 12

***

# 4
# Tl2CdF
Calculated XRD peak list, Cu Kα X-rays. Input: a cell relaxed with PBE.
Lines closer than 0.1° are merged.

Crystal structure
```
Tl2CdF
1.0
-2.881 2.881 7.796
2.881 -2.881 7.796
2.881 2.881 -7.796
Tl Cd F
4 2 2
Direct
0.038 0.625 0.913
0.375 0.288 0.413
0.712 0.125 0.087
0.875 0.962 0.587
0.250 0.750 0.500
0.500 0.500 0.000
0.000 0.000 0.000
0.750 0.250 0.500
```

Main lines, low angle first (15 to 90 degrees two-theta):
Position (°2θ), d (Å), I_rel
22.8, 3.898, 15
23.0, 3.859, 26
24.7, 3.611, 100
32.7, 2.742, 11
35.3, 2.542, 36
38.9, 2.317, 41
39.0, 2.308, 15
41.2, 2.191, 26
60.6, 1.527, 13
64.0, 1.456, 11

***

# 5
# CaSiGe
Calculated XRD peak list, Cu Kα X-rays. Input: a cell relaxed with PBE.
Lines closer than 0.1° are merged.

Crystal structure
```
CaSiGe
1.0
1.960 1.132 5.283
-1.960 1.132 5.283
0.000 -2.263 5.283
Ca Si Ge
1 1 1
Direct
0.000 0.000 0.000
0.800 0.800 0.800
0.199 0.199 0.199
```

Main lines, low angle first (15 to 90 degrees two-theta):
Position (°2θ), d (Å), I_rel
16.8, 5.283, 32
26.9, 3.320, 97
28.6, 3.121, 27
34.8, 2.578, 47
38.9, 2.317, 100
46.3, 1.960, 59
58.6, 1.574, 20
62.0, 1.496, 24
64.9, 1.436, 21
80.8, 1.189, 22

***

# 6
# Cu2Os
Calculated XRD peak list, Cu Kα X-rays. Input: a cell relaxed with PBE.
Lines closer than 0.1° are merged.

Crystal structure
```
Cu2Os
1.0
4.930 -1.320 0.000
4.930 1.320 0.000
-1.680 0.000 6.028
Cu Os
4 2
Direct
0.021 0.021 0.305
0.363 0.363 0.975
0.637 0.637 0.025
0.979 0.979 0.695
0.296 0.296 0.359
0.704 0.704 0.641
```

Main lines, low angle first (15 to 90 degrees two-theta):
Position (°2θ), d (Å), I_rel
18.7, 4.749, 34
26.8, 3.322, 20
37.4, 2.406, 14
39.4, 2.285, 43
41.6, 2.170, 48
44.7, 2.029, 100
45.0, 2.016, 60
45.1, 2.009, 31
58.5, 1.579, 13
71.5, 1.319, 28

***

# 7
# La3W5
Calculated XRD peak list, Cu Kα X-rays. Input: a cell relaxed with PBE.
Lines closer than 0.1° are merged.

Crystal structure
```
La3W5
1.0
3.706 -4.699 0.000
3.706 4.699 0.000
0.000 0.000 4.947
La W
3 5
Direct
0.000 0.000 0.000
0.216 0.784 0.500
0.784 0.216 0.500
0.000 0.500 0.000
0.333 0.333 0.500
0.500 0.000 0.000
0.500 0.500 0.000
0.667 0.667 0.500
```

Main lines, low angle first (15 to 90 degrees two-theta):
Position (°2θ), d (Å), I_rel
15.2, 5.819, 9
31.0, 2.885, 9
35.8, 2.508, 100
36.3, 2.473, 34
38.3, 2.349, 25
42.0, 2.151, 11
53.8, 1.703, 19
65.0, 1.435, 18
65.2, 1.432, 7
67.6, 1.385, 11

***

# 8
# Na5Pb3
Calculated XRD peak list, Cu Kα X-rays. Input: a cell relaxed with PBE.
Lines closer than 0.1° are merged.

Crystal structure
```
Na5Pb3
1.0
-2.497 2.497 9.471
2.497 -2.497 9.471
2.497 2.497 -9.471
Na Pb
5 3
Direct
0.000 0.000 0.000
0.248 0.248 0.000
0.618 0.118 0.500
0.752 0.752 0.000
0.882 0.382 0.500
0.121 0.621 0.500
0.379 0.879 0.500
0.500 0.500 0.000
```

Main lines, low angle first (15 to 90 degrees two-theta):
Position (°2θ), d (Å), I_rel
18.4, 4.829, 63
22.7, 3.917, 45
29.6, 3.018, 17
31.6, 2.831, 100
36.0, 2.497, 36
40.7, 2.218, 18
43.0, 2.106, 18
53.3, 1.718, 23
61.9, 1.498, 29
87.3, 1.117, 17